# 1
This entry pairs a crystal structure of Sr2FeSbP with its computed powder diffraction line list. Radiation: CuKα. Structure: a PBE-relaxed structure.

Principal peaks in the range 2θ from 15° to 90°, sorted by position:
2θ 15.6, d = 5.674 Å, rel. 142; 2θ 24.8, d = 3.589 Å, rel. 154; 2θ 28.8, d = 3.101 Å, rel. 1000; 2θ 31.0, d = 2.889 Å, rel. 473; 2θ 31.5, d = 2.837 Å, rel. 168; 2θ 34.8, d = 2.578 Å, rel. 488; 2θ 35.4, d = 2.533 Å, rel. 252; 2θ 40.5, d = 2.225 Å, rel. 218; 2θ 41.8, d = 2.159 Å, rel. 264; 2θ 43.3, d = 2.091 Å, rel. 164; 2θ 55.9, d = 1.644 Å, rel. 185; 2θ 59.7, d = 1.550 Å, rel. 136

Lattice parameters (Å, degrees): 8.3247 8.3247 8.0081 90.00 90.00 149.93
Element x y z (fractional)
Sr1 0.0378 0.9622 0.5000
Sr2 0.2282 0.7718 0.8644
Sr3 0.7718 0.2282 0.3644
Sr4 0.9622 0.0378 0.0000
Fe1 0.4061 0.5939 0.6443
Fe2 0.5939 0.4061 0.1443
Sb1 0.4280 0.5720 0.2981
Sb2 0.5720 0.4280 0.7981
P1 0.1524 0.8476 0.2077
P2 0.8476 0.1524 0.7077

---

# 2
This entry pairs a crystal structure of TlRe3Sn5 with its computed powder diffraction line list. Radiation: CuKα. Structure: a PBE-relaxed structure.

Principal peaks in the range 2θ from 15° to 90°, sorted by position:
2θ 21.6, d = 4.117 Å, rel. 216; 2θ 28.3, d = 3.153 Å, rel. 338; 2θ 31.6, d = 2.830 Å, rel. 224; 2θ 33.0, d = 2.717 Å, rel. 363; 2θ 34.7, d = 2.588 Å, rel. 237; 2θ 37.1, d = 2.426 Å, rel. 248; 2θ 38.2, d = 2.353 Å, rel. 246; 2θ 39.7, d = 2.268 Å, rel. 320; 2θ 42.6, d = 2.123 Å, rel. 200; 2θ 44.0, d = 2.058 Å, rel. 1000; 2θ 58.6, d = 1.576 Å, rel. 201; 2θ 69.1, d = 1.359 Å, rel. 211

Lattice parameters (Å, degrees): 5.4349 5.4349 8.4914 90.00 90.00 120.00
Element x y z (fractional)
Tl1 0.0000 0.0000 0.0000
Re1 0.0000 0.5000 0.5000
Re2 0.5000 0.0000 0.5000
Re3 0.5000 0.5000 0.5000
Sn1 0.0000 0.0000 0.5000
Sn2 0.3333 0.6667 0.2103
Sn3 0.3333 0.6667 0.7897
Sn4 0.6667 0.3333 0.2103
Sn5 0.6667 0.3333 0.7897

---

# 3
This entry pairs a crystal structure of Y3Mg3AlCuPt with its computed powder diffraction line list. Radiation: CuKα. Structure: a PBE-relaxed structure.

Principal peaks in the range 2θ from 15° to 90°, sorted by position:
2θ 23.3, d = 3.823 Å, rel. 355; 2θ 26.2, d = 3.400 Å, rel. 296; 2θ 32.5, d = 2.751 Å, rel. 830; 2θ 35.3, d = 2.540 Å, rel. 1000; 2θ 35.9, d = 2.503 Å, rel. 316; 2θ 40.9, d = 2.207 Å, rel. 351; 2θ 42.7, d = 2.116 Å, rel. 506; 2θ 45.8, d = 1.981 Å, rel. 199; 2θ 49.6, d = 1.837 Å, rel. 200; 2θ 55.1, d = 1.666 Å, rel. 194; 2θ 63.1, d = 1.474 Å, rel. 191; 2θ 65.8, d = 1.418 Å, rel. 269

Lattice parameters (Å, degrees): 7.6460 7.6460 3.9617 90.00 90.00 120.00
Element x y z (fractional)
Y1 0.0868 0.7347 0.0000
Y2 0.2653 0.3521 0.0000
Y3 0.6479 0.9132 0.0000
Mg1 0.4225 0.0912 0.5000
Mg2 0.6687 0.5775 0.5000
Mg3 0.9088 0.3313 0.5000
Al1 0.0000 0.0000 0.5000
Cu1 0.6667 0.3333 0.0000
Pt1 0.3333 0.6667 0.5000

---

# 4
This entry pairs a crystal structure of Sm4As3Se with its computed powder diffraction line list. Radiation: CuKα. Structure: a PBE-relaxed structure.

Principal peaks in the range 2θ from 15° to 90°, sorted by position:
2θ 26.0, d = 3.431 Å, rel. 187; 2θ 30.1, d = 2.971 Å, rel. 1000; 2θ 43.1, d = 2.101 Å, rel. 747; 2θ 51.0, d = 1.792 Å, rel. 92; 2θ 53.4, d = 1.715 Å, rel. 263; 2θ 62.5, d = 1.486 Å, rel. 122; 2θ 68.9, d = 1.363 Å, rel. 37; 2θ 70.9, d = 1.329 Å, rel. 335; 2θ 78.9, d = 1.213 Å, rel. 250; 2θ 84.8, d = 1.144 Å, rel. 28

Lattice parameters (Å, degrees): 7.2768 7.2768 4.2019 90.00 90.00 109.41
Element x y z (fractional)
Sm1 0.2436 0.2436 0.5000
Sm2 0.2474 0.7526 0.0000
Sm3 0.7526 0.2474 0.0000
Sm4 0.7564 0.7564 0.5000
As1 0.0000 0.0000 0.0000
As2 0.0000 0.5000 0.5000
As3 0.5000 0.0000 0.5000
Se1 0.5000 0.5000 0.0000

---

# 5
This entry pairs a crystal structure of RbGeAsIr2 with its computed powder diffraction line list. Radiation: CuKα. Structure: a PBE-relaxed structure.

Principal peaks in the range 2θ from 15° to 90°, sorted by position:
2θ 25.3, d = 3.514 Å, rel. 353; 2θ 29.0, d = 3.080 Å, rel. 472; 2θ 33.5, d = 2.673 Å, rel. 1000; 2θ 40.4, d = 2.232 Å, rel. 596; 2θ 44.3, d = 2.044 Å, rel. 514; 2θ 46.3, d = 1.963 Å, rel. 283; 2θ 50.1, d = 1.820 Å, rel. 663; 2θ 51.7, d = 1.767 Å, rel. 207; 2θ 70.7, d = 1.332 Å, rel. 169; 2θ 74.7, d = 1.271 Å, rel. 203; 2θ 78.9, d = 1.213 Å, rel. 172; 2θ 85.9, d = 1.132 Å, rel. 290

Lattice parameters (Å, degrees): 7.5994 7.5994 7.5994 148.80 148.80 44.71
Element x y z (fractional)
Rb1 0.0000 0.0000 0.0000
Ge1 0.3475 0.3475 0.0000
As1 0.6509 0.6509 0.0000
Ir1 0.2468 0.7468 0.5000
Ir2 0.7468 0.2468 0.5000

---

# 6
This entry pairs a crystal structure of PmSi2Ni5 with its computed powder diffraction line list. Radiation: CuKα. Structure: a PBE-relaxed structure.

Principal peaks in the range 2θ from 15° to 90°, sorted by position:
2θ 28.0, d = 3.184 Å, rel. 167; 2θ 32.4, d = 2.765 Å, rel. 257; 2θ 33.6, d = 2.668 Å, rel. 306; 2θ 34.3, d = 2.613 Å, rel. 149; 2θ 38.2, d = 2.356 Å, rel. 1000; 2θ 38.5, d = 2.337 Å, rel. 961; 2θ 42.5, d = 2.129 Å, rel. 174; 2θ 48.5, d = 1.876 Å, rel. 518; 2θ 50.1, d = 1.820 Å, rel. 299; 2θ 52.7, d = 1.736 Å, rel. 169; 2θ 72.3, d = 1.306 Å, rel. 238; 2θ 84.0, d = 1.152 Å, rel. 122

Lattice parameters (Å, degrees): 5.9170 5.9170 5.9170 144.17 112.57 78.78
Element x y z (fractional)
Pm1 0.0000 0.0000 0.0000
Si1 0.2568 0.7568 0.5000
Si2 0.7432 0.2432 0.5000
Ni1 0.1629 0.3501 0.8128
Ni2 0.4627 0.6499 0.8128
Ni3 0.5000 0.0000 0.5000
Ni4 0.5373 0.3501 0.1872
Ni5 0.8371 0.6499 0.1872

---

# 7
This entry pairs a crystal structure of K3Au2 with its computed powder diffraction line list. Radiation: CuKα. Structure: a PBE-relaxed structure.

Principal peaks in the range 2θ from 15° to 90°, sorted by position:
2θ 17.4, d = 5.090 Å, rel. 572; 2θ 20.7, d = 4.296 Å, rel. 596; 2θ 22.3, d = 3.979 Å, rel. 1000; 2θ 28.0, d = 3.190 Å, rel. 327; 2θ 28.4, d = 3.147 Å, rel. 893; 2θ 30.4, d = 2.939 Å, rel. 355; 2θ 32.7, d = 2.735 Å, rel. 614; 2θ 33.1, d = 2.703 Å, rel. 741; 2θ 37.1, d = 2.426 Å, rel. 412; 2θ 38.0, d = 2.368 Å, rel. 394; 2θ 41.5, d = 2.177 Å, rel. 493; 2θ 43.9, d = 2.061 Å, rel. 424

Lattice parameters (Å, degrees): 8.6754 8.6754 8.6754 71.85 71.85 71.85
Element x y z (fractional)
K1 0.0000 0.0000 0.0000
K2 0.1547 0.6685 0.3960
K3 0.2000 0.2000 0.2000
K4 0.3315 0.6040 0.8453
K5 0.3960 0.1547 0.6685
K6 0.6040 0.8453 0.3315
K7 0.6685 0.3960 0.1547
K8 0.8000 0.8000 0.8000
K9 0.8453 0.3315 0.6040
Au1 0.0376 0.4151 0.8582
Au2 0.1418 0.9624 0.5849
Au3 0.4151 0.8582 0.0376
Au4 0.5849 0.1418 0.9624
Au5 0.8582 0.0376 0.4151
Au6 0.9624 0.5849 0.1418

---

# 8
This entry pairs a crystal structure of Nd2ZnSnAu4 with its computed powder diffraction line list. Radiation: CuKα. Structure: a PBE-relaxed structure.

Principal peaks in the range 2θ from 15° to 90°, sorted by position:
2θ 21.7, d = 4.095 Å, rel. 253; 2θ 36.0, d = 2.498 Å, rel. 1000; 2θ 38.1, d = 2.364 Å, rel. 831; 2θ 44.2, d = 2.047 Å, rel. 120; 2θ 53.4, d = 1.717 Å, rel. 334; 2θ 63.2, d = 1.471 Å, rel. 143; 2θ 67.4, d = 1.389 Å, rel. 330; 2θ 68.8, d = 1.365 Å, rel. 149; 2θ 72.0, d = 1.311 Å, rel. 97; 2θ 76.2, d = 1.249 Å, rel. 75; 2θ 81.4, d = 1.182 Å, rel. 98; 2θ 88.5, d = 1.104 Å, rel. 114

Lattice parameters (Å, degrees): 4.7280 4.7280 9.4580 90.00 90.00 120.00
Element x y z (fractional)
Nd1 0.3333 0.6667 0.2521
Nd2 0.6667 0.3333 0.7479
Zn1 0.0000 0.0000 0.5000
Sn1 0.0000 0.0000 0.0000
Au1 0.3333 0.6667 0.5763
Au2 0.3333 0.6667 0.8940
Au3 0.6667 0.3333 0.1060
Au4 0.6667 0.3333 0.4237

---

# 9
This entry pairs a crystal structure of TmLuFeGe2 with its computed powder diffraction line list. Radiation: CuKα. Structure: a PBE-relaxed structure.

Principal peaks in the range 2θ from 15° to 90°, sorted by position:
2θ 23.5, d = 3.787 Å, rel. 227; 2θ 33.9, d = 2.643 Å, rel. 785; 2θ 34.0, d = 2.634 Å, rel. 639; 2θ 34.2, d = 2.623 Å, rel. 253; 2θ 34.4, d = 2.610 Å, rel. 290; 2θ 34.7, d = 2.588 Å, rel. 452; 2θ 34.8, d = 2.580 Å, rel. 1000; 2θ 37.7, d = 2.383 Å, rel. 558; 2θ 40.9, d = 2.209 Å, rel. 334; 2θ 41.7, d = 2.168 Å, rel. 622; 2θ 43.5, d = 2.080 Å, rel. 667; 2θ 67.1, d = 1.395 Å, rel. 296

Lattice parameters (Å, degrees): 5.5848 5.5848 10.0039 115.81 115.81 43.73
Element x y z (fractional)
Tm1 0.0030 0.0030 0.3301
Tm2 0.9970 0.9970 0.6699
Lu1 0.1868 0.1868 0.1121
Lu2 0.8132 0.8132 0.8879
Fe1 0.2757 0.2757 0.6403
Fe2 0.7243 0.7243 0.3597
Ge1 0.3485 0.3485 0.4350
Ge2 0.4869 0.4869 0.1240
Ge3 0.5131 0.5131 0.8760
Ge4 0.6515 0.6515 0.5650

---

# 10
This entry pairs a crystal structure of TbTaN2O with its computed powder diffraction line list. Radiation: CuKα. Structure: a PBE-relaxed structure.

Principal peaks in the range 2θ from 15° to 90°, sorted by position:
2θ 31.5, d = 2.841 Å, rel. 225; 2θ 32.0, d = 2.800 Å, rel. 1000; 2θ 32.5, d = 2.757 Å, rel. 249; 2θ 45.8, d = 1.982 Å, rel. 214; 2θ 46.0, d = 1.974 Å, rel. 98; 2θ 56.3, d = 1.634 Å, rel. 65; 2θ 56.4, d = 1.631 Å, rel. 68; 2θ 56.6, d = 1.625 Å, rel. 93; 2θ 57.3, d = 1.609 Å, rel. 108; 2θ 57.5, d = 1.602 Å, rel. 104; 2θ 57.7, d = 1.598 Å, rel. 107; 2θ 66.9, d = 1.398 Å, rel. 74

Lattice parameters (Å, degrees): 7.9013 7.9236 11.0282 90.00 134.01 90.00
Element x y z (fractional)
Tb1 0.0535 0.2433 0.0272
Tb2 0.0535 0.2567 0.5272
Tb3 0.4448 0.7443 0.4729
Tb4 0.4448 0.7557 0.9729
Tb5 0.5552 0.2443 0.0271
Tb6 0.5552 0.2557 0.5271
Tb7 0.9465 0.7433 0.4728
Tb8 0.9465 0.7567 0.9728
Ta1 0.0169 0.0058 0.2618
Ta2 0.0169 0.4942 0.7618
Ta3 0.4886 0.5038 0.2341
Ta4 0.4886 0.9962 0.7341
Ta5 0.5114 0.0038 0.2659
Ta6 0.5114 0.4962 0.7659
Ta7 0.9831 0.5058 0.2382
Ta8 0.9831 0.9942 0.7382
N1 0.0303 0.7503 0.2182
N2 0.0303 0.7497 0.7182
N3 0.1863 0.5490 0.0000
N4 0.1863 0.9510 0.5000
N5 0.3051 0.0471 0.3052
N6 0.3051 0.4529 0.8052
N7 0.4670 0.2499 0.1871
N8 0.4670 0.2501 0.6871
N9 0.5330 0.7499 0.3129
N10 0.5330 0.7501 0.8129
N11 0.6949 0.5471 0.1948
N12 0.6949 0.9529 0.6948
N13 0.8137 0.0490 0.5000
N14 0.8137 0.4510 0.0000
N15 0.9697 0.2503 0.2818
N16 0.9697 0.2497 0.7818
O1 0.1957 0.5506 0.4995
O2 0.1957 0.9494 0.9995
O3 0.3146 0.0479 0.8160
O4 0.3146 0.4521 0.3160
O5 0.6854 0.5479 0.6840
O6 0.6854 0.9521 0.1840
O7 0.8043 0.0506 0.0005
O8 0.8043 0.4494 0.5005

---

Number 2 is which compound? TlRe3Sn5